For VIn2Ni2, a cell relaxed with PBE gives the theoretical powder X-ray diffraction pattern in this record (Cu Kα, 1.54184 Å).
Lines closer than 0.1° are merged.

```
data_VIn2Ni2
_chemical_formula_sum 'V2 In4 Ni4'
_space_group_name_H-M_alt 'P 1'
_space_group_IT_number 1
_cell_length_a 6.3443
_cell_length_b 6.3443
_cell_length_c 3.9887
_cell_angle_alpha 90.00
_cell_angle_beta 90.00
_cell_angle_gamma 90.00
loop_
_space_group_symop_operation_xyz
'x,y,z'
loop_
_atom_site_label
_atom_site_type_symbol
_atom_site_fract_x
_atom_site_fract_y
_atom_site_fract_z
V1 V 0.0000 0.0000 0.0000
V2 V 0.5000 0.5000 0.0000
In1 In 0.1773 0.3227 0.5000
In2 In 0.3227 0.8227 0.5000
In3 In 0.6773 0.1773 0.5000
In4 In 0.8227 0.6773 0.5000
Ni1 Ni 0.1310 0.6310 0.0000
Ni2 Ni 0.3690 0.1310 0.0000
Ni3 Ni 0.6310 0.8690 0.0000
Ni4 Ni 0.8690 0.3690 0.0000
```

Principal peaks in the range 5 to 70 degrees two-theta, by angle:
| two_theta | I (rel.) | hkl |
| --- | --- | --- |
| 28.13 | 9.1 | 2 0 0 |
| 36.18 | 30.3 | 2 0 1 |
| 38.96 | 100.0 | 2 1 1 |
| 45.20 | 22.8 | 3 1 0 |
| 45.48 | 19.8 | 0 0 2 |
| 60.13 | 7.0 | 4 1 0 |
| 64.96 | 14.6 | 4 1 1 |
| 66.06 | 13.6 | 3 1 2 |